HgPtO2: computed powder X-ray diffraction pattern (CuKα), based on a DFT-relaxed cell (GGA-PBE, the Materials Project).
Lines closer than 0.1° are merged.

The 10 most intense peaks (10 to 90 degrees two-theta), in order of falling intensity:
2θ (°), I/Imax
23.17, 100
34.54, 76
34.42, 63
32.20, 40
48.60, 33
39.84, 28
48.33, 28
58.76, 26
40.25, 21
59.00, 18

Unit cell a=5.5599 b=3.1865 c=7.6795 alpha=90.00 beta=90.59 gamma=90.00
Sites, in units of the cell vectors:
Hg: 0.0000 0.0000 0.0000
Hg: 0.5000 0.5000 0.0000
Pt: 0.0000 0.5000 0.5000
Pt: 0.5000 0.0000 0.5000
O: 0.1676 0.0000 0.6229
O: 0.3324 0.5000 0.3771
O: 0.6676 0.5000 0.6229
O: 0.8324 0.0000 0.3771

HfTaB2: computed powder X-ray diffraction pattern (CuKα), based on a DFT-relaxed cell (GGA-PBE, the Materials Project).
Lines closer than 0.1° are merged.

The 10 most intense peaks (10 to 90 degrees two-theta), in order of falling intensity:
2θ (°), I/Imax
34.54, 100
40.23, 95
39.97, 65
28.12, 63
65.87, 44
65.37, 32
39.74, 30
73.00, 22
54.16, 17
49.62, 17

Unit cell a=3.1671 b=3.3868 c=9.0716 alpha=90.00 beta=90.00 gamma=90.00
Sites, in units of the cell vectors:
Hf: 0.0000 0.0000 0.0000
Hf: 0.0000 0.5000 0.5000
Ta: 0.5000 0.0000 0.2875
Ta: 0.5000 0.5000 0.7875
B: 0.0000 0.0000 0.7056
B: 0.0000 0.5000 0.2056
B: 0.5000 0.0000 0.5971
B: 0.5000 0.5000 0.0971

Sr3Ca3Ru4O14: computed powder X-ray diffraction pattern (CuKα), based on a DFT-relaxed cell (GGA-PBE, the Materials Project).
Lines closer than 0.1° are merged.

The 10 most intense peaks (10 to 90 degrees two-theta), in order of falling intensity:
2θ (°), I/Imax
31.79, 100
31.67, 100
45.97, 66
32.00, 62
32.11, 61
56.89, 51
44.99, 34
56.22, 22
17.61, 22
22.95, 18

Unit cell a=5.5748 b=5.5930 c=10.4530 alpha=105.47 beta=90.28 gamma=90.04
Sites, in units of the cell vectors:
Sr: 0.0000 0.0000 0.0000
Sr: 0.0511 0.1854 0.3785
Sr: 0.5468 0.6750 0.3743
Ca: 0.4823 0.4709 0.9999
Ca: 0.4827 0.8449 0.7516
Ca: 0.9823 0.3852 0.7526
Ru: 0.0176 0.5812 0.1769
Ru: 0.0188 0.7797 0.5763
Ru: 0.5199 0.0778 0.1773
Ru: 0.5207 0.2781 0.5787
O: 0.0070 0.7336 0.3773
O: 0.0414 0.4437 0.9768
O: 0.0431 0.8123 0.7688
O: 0.2233 0.0926 0.6062
O: 0.2350 0.8559 0.1628
O: 0.3073 0.3781 0.1995
O: 0.3182 0.5643 0.5517
O: 0.5162 0.0352 0.9777
O: 0.5203 0.1259 0.3789
O: 0.5395 0.4379 0.7767
O: 0.7250 0.0001 0.6098
O: 0.7260 0.7707 0.1452
O: 0.8068 0.3032 0.2007
O: 0.8151 0.4725 0.5549

Zr3P3Pd4: computed powder X-ray diffraction pattern (CuKα), based on a DFT-relaxed cell (GGA-PBE, the Materials Project).
Lines closer than 0.1° are merged.

The 10 most intense peaks (10 to 90 degrees two-theta), in order of falling intensity:
2θ (°), I/Imax
36.87, 100
36.49, 56
47.10, 54
37.11, 53
39.12, 47
42.22, 25
37.29, 24
35.85, 20
31.71, 19
40.14, 19

Unit cell a=16.5490 b=3.8587 c=10.0825 alpha=90.00 beta=90.00 gamma=90.00
Sites, in units of the cell vectors:
Zr: 0.0483 0.2500 0.1170
Zr: 0.0607 0.7500 0.5890
Zr: 0.2396 0.2500 0.9766
Zr: 0.2604 0.7500 0.4766
Zr: 0.4393 0.2500 0.0890
Zr: 0.4517 0.7500 0.6170
Zr: 0.5483 0.2500 0.3830
Zr: 0.5607 0.7500 0.9110
Zr: 0.7396 0.2500 0.5234
Zr: 0.7604 0.7500 0.0234
Zr: 0.9393 0.2500 0.4110
Zr: 0.9517 0.7500 0.8830
P: 0.0451 0.7500 0.3196
P: 0.1142 0.7500 0.9630
P: 0.1774 0.2500 0.6113
P: 0.3226 0.7500 0.1113
P: 0.3858 0.2500 0.4630
P: 0.4549 0.2500 0.8196
P: 0.5451 0.7500 0.1804
P: 0.6142 0.7500 0.5370
P: 0.6774 0.2500 0.8887
P: 0.8226 0.7500 0.3887
P: 0.8858 0.2500 0.0370
P: 0.9549 0.2500 0.6804
Pd: 0.0814 0.2500 0.8173
Pd: 0.1285 0.2500 0.3828
Pd: 0.1762 0.7500 0.1889
Pd: 0.2062 0.7500 0.7645
Pd: 0.2938 0.2500 0.2645
Pd: 0.3238 0.2500 0.6889
Pd: 0.3715 0.7500 0.8828
Pd: 0.4186 0.7500 0.3173
Pd: 0.5814 0.2500 0.6827
Pd: 0.6285 0.2500 0.1172
Pd: 0.6762 0.7500 0.3111
Pd: 0.7062 0.7500 0.7355
Pd: 0.7938 0.2500 0.2355
Pd: 0.8238 0.2500 0.8111
Pd: 0.8715 0.7500 0.6172
Pd: 0.9186 0.7500 0.1827

Mg7GaAg12: computed powder X-ray diffraction pattern (CuKα), based on a DFT-relaxed cell (GGA-PBE, the Materials Project).
Lines closer than 0.1° are merged.

The 10 most intense peaks (10 to 90 degrees two-theta), in order of falling intensity:
2θ (°), I/Imax
38.43, 100
69.51, 32
26.92, 21
55.48, 16
82.34, 10
62.72, 7
47.54, 6
23.26, 5
88.56, 4
45.40, 2

Unit cell a=19.3247 b=19.3247 c=19.3247 alpha=13.92 beta=13.92 gamma=13.92
Sites, in units of the cell vectors:
Mg: 0.0000 0.0000 0.0000
Mg: 0.1003 0.1003 0.1003
Mg: 0.2004 0.2004 0.2004
Mg: 0.4002 0.4002 0.4002
Mg: 0.5002 0.5002 0.5002
Mg: 0.6003 0.6003 0.6003
Mg: 0.8002 0.8002 0.8002
Ga: 0.7002 0.7002 0.7002
Ag: 0.0502 0.0502 0.0502
Ag: 0.1503 0.1503 0.1503
Ag: 0.2503 0.2503 0.2503
Ag: 0.3003 0.3003 0.3003
Ag: 0.3503 0.3503 0.3503
Ag: 0.4502 0.4502 0.4502
Ag: 0.5501 0.5501 0.5501
Ag: 0.6504 0.6504 0.6504
Ag: 0.7501 0.7501 0.7501
Ag: 0.8502 0.8502 0.8502
Ag: 0.9002 0.9002 0.9002
Ag: 0.9502 0.9502 0.9502

LiCu6OF11: computed powder X-ray diffraction pattern (CuKα), based on a DFT-relaxed cell (GGA-PBE, the Materials Project).
Lines closer than 0.1° are merged.

The 10 most intense peaks (10 to 90 degrees two-theta), in order of falling intensity:
2θ (°), I/Imax
27.81, 100
26.07, 96
29.62, 62
32.11, 39
53.59, 36
32.68, 35
34.59, 31
57.45, 19
52.36, 19
53.26, 18

Unit cell a=4.6531 b=5.4535 c=9.0642 alpha=88.50 beta=86.71 gamma=87.66
Sites, in units of the cell vectors:
Li: 0.0000 0.0000 0.0000
Cu: 0.2732 0.3178 0.8416
Cu: 0.2990 0.9547 0.2319
Cu: 0.3042 0.6347 0.5046
Cu: 0.7059 0.7812 0.8195
Cu: 0.7741 0.4778 0.2239
Cu: 0.7783 0.1451 0.5319
O: 0.4968 0.6858 0.3124
F: 0.0000 0.7473 0.1413
F: 0.0659 0.6052 0.7546
F: 0.0660 0.9273 0.4560
F: 0.0671 0.2372 0.1383
F: 0.4340 0.0086 0.9350
F: 0.4897 0.3596 0.6160
F: 0.5528 0.5078 0.9340
F: 0.5671 0.8694 0.6106
F: 0.5687 0.1913 0.2886
F: 0.9546 0.1014 0.8015
F: 0.9909 0.4131 0.4523

Ce5Sb3: computed powder X-ray diffraction pattern (CuKα), based on a DFT-relaxed cell (GGA-PBE, the Materials Project).
Lines closer than 0.1° are merged.

The 10 most intense peaks (10 to 90 degrees two-theta), in order of falling intensity:
2θ (°), I/Imax
32.66, 100
34.22, 92
33.42, 69
29.38, 30
52.70, 26
48.58, 25
28.11, 19
68.73, 17
51.57, 17
30.27, 16

Unit cell a=9.2888 b=9.2888 c=6.3479 alpha=90.00 beta=90.00 gamma=120.00
Sites, in units of the cell vectors:
Ce: 0.0000 0.2550 0.2500
Ce: 0.0000 0.7450 0.7500
Ce: 0.2550 0.0000 0.2500
Ce: 0.2550 0.2550 0.7500
Ce: 0.3333 0.6667 0.0000
Ce: 0.3333 0.6667 0.5000
Ce: 0.6667 0.3333 0.0000
Ce: 0.6667 0.3333 0.5000
Ce: 0.7450 0.0000 0.7500
Ce: 0.7450 0.7450 0.2500
Sb: 0.0000 0.3851 0.7500
Sb: 0.0000 0.6149 0.2500
Sb: 0.3851 0.0000 0.7500
Sb: 0.3851 0.3851 0.2500
Sb: 0.6149 0.0000 0.2500
Sb: 0.6149 0.6149 0.7500

Zr4Sn3: computed powder X-ray diffraction pattern (CuKα), based on a DFT-relaxed cell (GGA-PBE, the Materials Project).
Lines closer than 0.1° are merged.

The 10 most intense peaks (10 to 90 degrees two-theta), in order of falling intensity:
2θ (°), I/Imax
36.91, 100
33.80, 30
32.67, 23
62.52, 21
69.12, 18
47.72, 16
58.30, 15
71.03, 12
78.57, 4
80.46, 3

Unit cell a=8.3746 b=8.3746 c=5.3036 alpha=90.00 beta=90.00 gamma=120.00
Sites, in units of the cell vectors:
Zr: 0.0235 0.7873 0.2500
Zr: 0.2127 0.2361 0.2500
Zr: 0.2361 0.0235 0.7500
Zr: 0.3333 0.6667 0.2500
Zr: 0.6667 0.3333 0.7500
Zr: 0.7639 0.9765 0.2500
Zr: 0.7873 0.7639 0.7500
Zr: 0.9765 0.2127 0.7500
Sn: 0.0748 0.6230 0.7500
Sn: 0.3770 0.4518 0.7500
Sn: 0.4518 0.0748 0.2500
Sn: 0.5482 0.9252 0.7500
Sn: 0.6230 0.5482 0.2500
Sn: 0.9252 0.3770 0.2500

Al2O3: computed powder X-ray diffraction pattern (CuKα), based on a DFT-relaxed cell (GGA-PBE, the Materials Project).
Lines closer than 0.1° are merged.

The 10 most intense peaks (10 to 90 degrees two-theta), in order of falling intensity:
2θ (°), I/Imax
25.77, 100
18.24, 82
18.43, 42
36.16, 35
31.98, 33
36.86, 25
37.16, 24
69.80, 23
32.32, 15
65.48, 14

Unit cell a=5.5978 b=5.5978 c=4.9687 alpha=90.00 beta=90.00 gamma=59.32
Sites, in units of the cell vectors:
Al: 0.0046 0.3294 0.0000
Al: 0.3294 0.0046 0.5000
Al: 0.6706 0.9954 0.0000
Al: 0.9954 0.6706 0.5000
O: 0.0978 0.3396 0.6544
O: 0.2284 0.7716 0.5632
O: 0.3396 0.0978 0.1544
O: 0.6604 0.9022 0.6544
O: 0.7716 0.2284 0.0632
O: 0.9022 0.6604 0.1544

Te16Rh15: computed powder X-ray diffraction pattern (CuKα), based on a DFT-relaxed cell (GGA-PBE, the Materials Project).
Lines closer than 0.1° are merged.

The 10 most intense peaks (10 to 90 degrees two-theta), in order of falling intensity:
2θ (°), I/Imax
29.97, 100
40.81, 91
44.44, 69
29.64, 48
45.13, 33
40.49, 25
40.63, 24
54.88, 24
54.97, 15
62.22, 14

Unit cell a=9.0925 b=8.0357 c=9.1241 alpha=90.00 beta=102.38 gamma=90.00
Sites, in units of the cell vectors:
Te: 0.0396 0.2471 0.2092
Te: 0.0396 0.7529 0.2092
Te: 0.2064 0.0000 0.5349
Te: 0.2107 0.5000 0.5398
Te: 0.2841 0.5000 0.9489
Te: 0.2947 0.0000 0.9635
Te: 0.4564 0.2531 0.2860
Te: 0.4564 0.7469 0.2860
Te: 0.5436 0.2531 0.7140
Te: 0.5436 0.7469 0.7140
Te: 0.7053 0.0000 0.0365
Te: 0.7159 0.5000 0.0511
Te: 0.7893 0.5000 0.4602
Te: 0.7936 0.0000 0.4651
Te: 0.9604 0.2471 0.7908
Te: 0.9604 0.7529 0.7908
Rh: 0.0000 0.0000 0.0000
Rh: 0.0000 0.2393 0.5000
Rh: 0.0000 0.5000 0.0000
Rh: 0.0000 0.7607 0.5000
Rh: 0.2563 0.2421 0.7414
Rh: 0.2563 0.5000 0.2357
Rh: 0.2563 0.7579 0.7414
Rh: 0.2608 0.0000 0.2612
Rh: 0.5000 0.2657 0.0000
Rh: 0.5000 0.5000 0.5000
Rh: 0.5000 0.7343 0.0000
Rh: 0.7392 0.0000 0.7388
Rh: 0.7437 0.2421 0.2586
Rh: 0.7437 0.5000 0.7643
Rh: 0.7437 0.7579 0.2586

Rb4H6C2O9: computed powder X-ray diffraction pattern (CuKα), based on a DFT-relaxed cell (GGA-PBE, the Materials Project).
Lines closer than 0.1° are merged.

The 10 most intense peaks (10 to 90 degrees two-theta), in order of falling intensity:
2θ (°), I/Imax
31.17, 100
30.87, 93
30.29, 87
28.94, 59
25.47, 49
38.45, 44
25.27, 39
28.59, 33
24.91, 31
39.97, 29

Unit cell a=9.4243 b=9.4243 c=7.5928 alpha=109.68 beta=109.68 gamma=95.82
Sites, in units of the cell vectors:
Rb: 0.1184 0.8816 0.7500
Rb: 0.1885 0.8115 0.2500
Rb: 0.2172 0.4940 0.4586
Rb: 0.4940 0.2172 0.9586
Rb: 0.5060 0.7828 0.0414
Rb: 0.7828 0.5060 0.5414
Rb: 0.8115 0.1885 0.7500
Rb: 0.8816 0.1184 0.2500
H: 0.1414 0.2755 0.0361
H: 0.1473 0.2025 0.6216
H: 0.2025 0.1473 0.1216
H: 0.2755 0.1414 0.5361
H: 0.3743 0.4921 0.1553
H: 0.4921 0.3743 0.6553
H: 0.5079 0.6257 0.3447
H: 0.6257 0.5079 0.8447
H: 0.7245 0.8586 0.4639
H: 0.7975 0.8527 0.8784
H: 0.8527 0.7975 0.3784
H: 0.8586 0.7245 0.9639
C: 0.1394 0.4698 0.8439
C: 0.4698 0.1394 0.3439
C: 0.5302 0.8606 0.6561
C: 0.8606 0.5302 0.1561
O: 0.0576 0.3529 0.6693
O: 0.1088 0.1870 0.0712
O: 0.1744 0.6081 0.8505
O: 0.1847 0.4447 0.0121
O: 0.1870 0.1088 0.5712
O: 0.3529 0.0576 0.1693
O: 0.3919 0.8256 0.6495
O: 0.4447 0.1847 0.5121
O: 0.4855 0.5145 0.2500
O: 0.5145 0.4855 0.7500
O: 0.5553 0.8153 0.4879
O: 0.6081 0.1744 0.3505
O: 0.6471 0.9424 0.8307
O: 0.8130 0.8912 0.4288
O: 0.8153 0.5553 0.9879
O: 0.8256 0.3919 0.1495
O: 0.8912 0.8130 0.9288
O: 0.9424 0.6471 0.3307

Number 1 is which compound?
HgPtO2

Repeat the second record exactly.
HfTaB2: computed powder X-ray diffraction pattern (CuKα), based on a DFT-relaxed cell (GGA-PBE, the Materials Project).
Lines closer than 0.1° are merged.

The 10 most intense peaks (10 to 90 degrees two-theta), in order of falling intensity:
2θ (°), I/Imax
34.54, 100
40.23, 95
39.97, 65
28.12, 63
65.87, 44
65.37, 32
39.74, 30
73.00, 22
54.16, 17
49.62, 17

Unit cell a=3.1671 b=3.3868 c=9.0716 alpha=90.00 beta=90.00 gamma=90.00
Sites, in units of the cell vectors:
Hf: 0.0000 0.0000 0.0000
Hf: 0.0000 0.5000 0.5000
Ta: 0.5000 0.0000 0.2875
Ta: 0.5000 0.5000 0.7875
B: 0.0000 0.0000 0.7056
B: 0.0000 0.5000 0.2056
B: 0.5000 0.0000 0.5971
B: 0.5000 0.5000 0.0971